[1]
Starting from DFT lattice parameters and positions (PBE), the powder XRD pattern of Tm4MgCo was calculated for Cu Kα (weighted mean of Kα1 and Kα2).

Atomic structure:
a = 13.3481 Å, b = 13.3481 Å, c = 13.3481 Å
α = 90.00°, β = 90.00°, γ = 90.00°
Space group F-43m (No. 216)
One atom of each set of equivalent atoms:
Tm 0.0000 0.0000 0.1860 [24 per cell]
Tm 0.0624 0.2500 0.2500 [24 per cell]
Tm 0.1557 0.1557 0.6557 [16 per cell]
Mg 0.0793 0.0793 0.4207 [16 per cell]
Co 0.1409 0.1409 0.8591 [16 per cell]

The 8 most intense peaks (15° ≤ 2θ ≤ 90°), by angle:
| 2θ (°) | Rel. int. | (hkl) |
| --- | --- | --- |
| 29.2 | 599 | 3 3 1 |
| 32.9 | 680 | 4 2 2 |
| 34.9 | 1000 | 5 1 1 |
| 38.1 | 276 | 4 4 0 |
| 56.4 | 203 | 7 3 3 |
| 58.7 | 607 | 6 6 0 |
| 60.0 | 144 | 5 5 5 |
| 88.9 | 183 | 11 5 1 |

=====

[2]
Starting from DFT lattice parameters and positions (PBE), the powder XRD pattern of Mg6VCo was calculated for Cu Kα (weighted mean of Kα1 and Kα2).

Atomic structure:
a = 4.5977 Å, b = 5.9002 Å, c = 10.9051 Å
α = 90.00°, β = 90.00°, γ = 90.00°
Space group Amm2 (No. 38)
One atom of each set of equivalent atoms:
Mg 0.0000 0.0000 0.0000 [2 per cell]
Mg 0.0000 0.2369 0.2565 [4 per cell]
Mg 0.5000 0.0000 0.8399 [2 per cell]
Mg 0.5000 0.2390 0.5910 [4 per cell]
V 0.5000 0.0000 0.3670 [2 per cell]
Co 0.0000 0.0000 0.4703 [2 per cell]

The 8 most intense peaks (15° ≤ 2θ ≤ 90°), by angle:
| 2θ (°) | Rel. int. | (hkl) |
| --- | --- | --- |
| 16.3 | 275 | 0 0 2 |
| 17.1 | 490 | 0 1 1 |
| 34.6 | 543 | 0 2 2 |
| 38.4 | 841 | 1 0 4 |
| 39.2 | 473 | 2 0 0 |
| 39.9 | 1000 | 1 2 2 |
| 53.2 | 294 | 2 2 2 |
| 76.3 | 188 | 1 4 4 |

=====

[3]
Starting from DFT lattice parameters and positions (PBE), the powder XRD pattern of Mg6VCo was calculated for Cu Kα (weighted mean of Kα1 and Kα2).

Atomic structure:
a = 4.8554 Å, b = 5.8576 Å, c = 10.7391 Å
α = 90.00°, β = 90.00°, γ = 90.00°
Space group Amm2 (No. 38)
One atom of each set of equivalent atoms:
Mg 0.0000 0.0000 0.0000 [2 per cell]
Mg 0.0000 0.0000 0.4939 [2 per cell]
Mg 0.0000 0.2471 0.2606 [4 per cell]
Mg 0.5000 0.2494 0.0965 [4 per cell]
V 0.5000 0.0000 0.8485 [2 per cell]
Co 0.5000 0.0000 0.3473 [2 per cell]

The 8 most intense peaks (15° ≤ 2θ ≤ 90°), by angle:
| 2θ (°) | Rel. int. | (hkl) |
| --- | --- | --- |
| 16.5 | 230 | 0 0 2 |
| 34.9 | 352 | 0 2 2 |
| 37.0 | 433 | 2 0 0 |
| 38.3 | 667 | 1 0 4 |
| 39.7 | 1000 | 1 2 2 |
| 51.8 | 213 | 2 2 2 |
| 68.5 | 178 | 3 2 2 |
| 73.2 | 244 | 2 2 6 |